Diffraction record for Y3ZnO6. The powder X-ray diffraction pattern is calculated, not measured: it uses DFT lattice parameters and positions (PBE) and Cu Ka.
No peak broadening, texture or thermal motion is included.

Principal peaks in the range 2θ from 15° to 90°, by angle:
d = 2.947 Å, 30.33°, rel. 100.0, hkl 2 2 1
d = 2.909 Å, 30.73°, rel. 37.9, hkl 1 3 1
d = 2.740 Å, 32.68°, rel. 16.2, hkl 0 0 2
d = 1.988 Å, 45.62°, rel. 21.2, hkl 3 1 2
d = 1.954 Å, 46.48°, rel. 19.3, hkl 0 4 2
d = 1.788 Å, 51.09°, rel. 22.4, hkl 3 5 0
d = 1.550 Å, 59.63°, rel. 14.0, hkl 5 3 1
d = 1.497 Å, 62.00°, rel. 16.0, hkl 6 0 0

Atomic structure:
Unit cell a=8.977 b=11.146 c=5.480 alpha=90.00 beta=90.00 gamma=90.00
Space group Cmc2_1 (No. 36)
Asymmetric unit:
Y (0.000, 0.104, 0.000) [4 per cell]
Y (0.193, 0.392, 0.950) [8 per cell]
Zn (0.000, 0.308, 0.425) [4 per cell]
O (0.000, 0.283, 0.772) [4 per cell]
O (0.000, 0.467, 0.250) [4 per cell]
O (0.160, 0.017, 0.725) [8 per cell]
O (0.162, 0.235, 0.228) [8 per cell]